# 1
The following is a theoretical powder diffraction line list of Li5OsO6. It was derived from a DFT-relaxed cell (GGA-PBE, Alexandria), using Cu Kα.

Atomic structure:
```
Li5OsO6
1.0
2.553 -4.413 0.000
2.553 4.413 0.000
-1.740 0.000 4.759
Li Os O
5 1 6
Direct
0.000 0.000 0.000
0.168 0.832 0.500
0.321 0.679 0.000
0.679 0.321 0.000
0.832 0.168 0.500
0.500 0.500 0.500
0.114 0.422 0.264
0.272 0.272 0.728
0.422 0.114 0.264
0.578 0.886 0.736
0.728 0.728 0.272
0.886 0.578 0.736
```

The 6 most intense peaks (2θ = 5–70°), sorted by position:
d [Å], 2θ/deg, I (rel.)
4.759, 18.64, 68.4
4.413, 20.12, 55.8
4.213, 21.09, 100.0
3.769, 23.60, 74.8
3.236, 27.57, 49.4
2.070, 43.72, 38.3

---

# 2
The following is a theoretical powder diffraction line list of Li2OsO5. It was derived from a DFT-relaxed cell (GGA-PBE, Alexandria), using Cu Kα.

Atomic structure:
```
Li2OsO5
1.0
5.092 -2.645 0.000
5.092 2.645 0.000
-3.631 0.000 7.607
Li Os O
4 2 10
Direct
0.077 0.923 0.500
0.508 0.816 0.889
0.816 0.508 0.389
0.923 0.077 0.000
0.302 0.449 0.181
0.449 0.302 0.681
0.006 0.583 0.280
0.115 0.288 0.574
0.141 0.634 0.011
0.237 0.690 0.681
0.288 0.115 0.074
0.402 0.691 0.374
0.583 0.006 0.780
0.634 0.141 0.511
0.690 0.237 0.181
0.691 0.402 0.874
```

The 6 most intense peaks (2θ = 5–70°), sorted by position:
d [Å], 2θ/deg, I (rel.)
4.589, 19.34, 100.0
4.364, 20.35, 13.2
3.858, 23.05, 26.4
3.803, 23.39, 21.5
3.296, 27.05, 33.6
2.697, 33.22, 15.3

---

# 3
The following is a theoretical powder diffraction line list of Li8OsO6. It was derived from a DFT-relaxed cell (GGA-PBE, Alexandria), using Cu Kα.

Atomic structure:
```
Li8OsO6
1.0
5.664 0.000 0.000
-2.832 4.905 0.000
0.000 0.000 10.720
Li Os O
16 2 12
Direct
0.000 0.318 0.000
0.000 0.375 0.369
0.000 0.625 0.869
0.000 0.682 0.500
0.318 0.000 0.000
0.318 0.318 0.500
0.333 0.667 0.140
0.333 0.667 0.640
0.375 0.000 0.369
0.375 0.375 0.869
0.625 0.000 0.869
0.625 0.625 0.369
0.667 0.333 0.140
0.667 0.333 0.640
0.682 0.000 0.500
0.682 0.682 0.000
0.000 0.000 0.201
0.000 0.000 0.701
0.000 0.000 0.406
0.000 0.000 0.906
0.000 0.331 0.189
0.000 0.669 0.689
0.331 0.000 0.189
0.331 0.331 0.689
0.333 0.667 0.454
0.333 0.667 0.954
0.667 0.333 0.454
0.667 0.333 0.954
0.669 0.000 0.689
0.669 0.669 0.189
```

The 6 most intense peaks (2θ = 5–70°), sorted by position:
d [Å], 2θ/deg, I (rel.)
5.360, 16.54, 36.5
4.905, 18.09, 95.8
3.618, 24.60, 100.0
2.832, 31.59, 32.9
2.352, 38.27, 29.3
2.230, 40.45, 26.7